Entry 1:
Calculated X-ray diffraction stick pattern
Compound: Be4Cd
Radiation: a wavelength of 1.5418 Å
Structure: a structure optimized by DFT (PBE)
No peak broadening, texture or thermal motion is included.

```
Be4Cd
1.0
3.228 0.000 0.000
0.000 3.228 0.000
0.000 0.000 10.562
Be Cd
8 2
Cartesian
0.807 0.807 0.032 Be
0.807 2.421 1.428 Be
0.807 2.421 5.281 Be
0.807 2.421 9.134 Be
2.421 0.807 1.428 Be
2.421 0.807 5.281 Be
2.421 0.807 9.134 Be
2.421 2.421 10.530 Be
0.807 0.807 7.179 Cd
2.421 2.421 3.383 Cd
```

Largest 10 diffraction maxima, in order of rising 2θ, 2θ from 10° to 80°:
16.79 deg, d 5.281, I 30; 25.30 deg, d 3.521, I 33; 28.92 deg, d 3.087, I 100; 32.51 deg, d 2.754, I 54; 39.48 deg, d 2.283, I 21; 43.18 deg, d 2.095, I 16; 44.32 deg, d 2.044, I 36; 47.47 deg, d 1.915, I 40; 65.23 deg, d 1.430, I 18; 67.20 deg, d 1.393, I 19

Entry 2:
Calculated X-ray diffraction stick pattern
Compound: GdDyCS
Radiation: a wavelength of 1.5418 Å
Structure: a structure optimized by DFT (PBE)
No peak broadening, texture or thermal motion is included.

```
GdDyCS
1.0
3.729 0.000 0.000
-1.864 3.229 0.000
0.000 0.000 12.997
Gd Dy C S
2 2 2 2
Cartesian
0.000 2.153 0.000 Gd
1.864 1.076 6.498 Gd
0.000 2.153 9.217 Dy
1.864 1.076 2.718 Dy
0.000 0.000 1.368 C
0.000 0.000 7.866 C
0.000 2.153 4.584 S
1.864 1.076 11.082 S
```

Largest 10 diffraction maxima, in order of rising 2θ, 2θ from 10° to 80°:
27.45 deg, d 3.249, I 20; 27.62 deg, d 3.229, I 31; 28.48 deg, d 3.134, I 40; 34.65 deg, d 2.589, I 100; 39.34 deg, d 2.290, I 16; 48.85 deg, d 1.864, I 31; 56.96 deg, d 1.617, I 21; 57.23 deg, d 1.610, I 18; 61.27 deg, d 1.513, I 19; 66.13 deg, d 1.413, I 11

Entry 3:
Calculated X-ray diffraction stick pattern
Compound: P3IrO9
Radiation: a wavelength of 1.5418 Å
Structure: a structure optimized by DFT (PBE)
No peak broadening, texture or thermal motion is included.

```
P3IrO9
1.0
4.938 0.000 0.000
-0.293 6.851 0.000
-0.483 -1.602 10.026
P Ir O
6 2 18
Cartesian
-0.221 0.713 3.688 P
-0.062 2.909 1.846 P
0.873 -0.066 7.811 P
3.290 5.315 2.215 P
4.225 2.340 8.180 P
4.384 4.536 6.339 P
2.228 -0.801 5.013 Ir
2.323 3.425 0.000 Ir
-0.300 4.436 2.203 O
-0.287 3.036 6.797 O
-0.018 5.322 7.643 O
0.287 4.825 5.122 O
0.176 2.793 9.311 O
1.273 0.547 3.809 O
1.414 2.652 1.673 O
1.517 -0.032 9.174 O
1.681 0.351 6.607 O
2.482 4.898 3.419 O
2.646 5.281 0.852 O
2.749 2.597 8.353 O
2.890 4.702 6.218 O
3.987 2.456 0.716 O
3.876 0.424 4.904 O
4.181 -0.073 2.384 O
4.450 2.213 3.230 O
4.463 0.813 7.824 O
```

Largest 10 diffraction maxima, in order of rising 2θ, 2θ from 10° to 80°:
14.59 deg, d 6.069, I 100; 16.93 deg, d 5.238, I 70; 17.69 deg, d 5.013, I 13; 23.11 deg, d 3.848, I 40; 23.40 deg, d 3.802, I 17; 24.63 deg, d 3.614, I 33; 26.04 deg, d 3.421, I 21; 32.90 deg, d 2.723, I 29; 34.52 deg, d 2.598, I 15; 39.39 deg, d 2.288, I 13

Entry 4:
Calculated X-ray diffraction stick pattern
Compound: FeAuBr3Cl
Radiation: a wavelength of 1.5418 Å
Structure: a structure optimized by DFT (PBE)
No peak broadening, texture or thermal motion is included.

```
FeAuBr3Cl
1.0
6.051 0.000 0.000
-0.020 6.078 0.000
-2.925 -3.033 5.469
Fe Au Br Cl
1 1 3 1
Cartesian
0.000 0.000 0.000 Fe
3.085 -0.030 2.710 Au
-1.483 -1.700 4.148 Br
1.363 4.622 1.257 Br
1.675 1.688 4.157 Br
4.779 1.307 1.250 Cl
```

Largest 10 diffraction maxima, in order of rising 2θ, 2θ from 10° to 80°:
16.67 deg, d 5.317, I 100; 16.86 deg, d 5.257, I 51; 26.26 deg, d 3.394, I 82; 26.57 deg, d 3.355, I 82; 33.94 deg, d 2.641, I 23; 34.04 deg, d 2.634, I 23; 42.08 deg, d 2.147, I 21; 42.22 deg, d 2.140, I 22; 44.58 deg, d 2.033, I 37; 50.25 deg, d 1.816, I 25

Entry 5:
Calculated X-ray diffraction stick pattern
Compound: Lu2Sc2In5Ni2
Radiation: a wavelength of 1.5418 Å
Structure: a structure optimized by DFT (PBE)
No peak broadening, texture or thermal motion is included.

```
Lu2Sc2In5Ni2
1.0
7.559 0.000 0.000
0.000 3.401 0.000
-0.777 0.000 9.232
Lu Sc In Ni
2 2 5 2
Cartesian
1.231 0.000 4.025 Lu
5.551 0.000 5.207 Lu
0.746 0.000 7.765 Sc
6.036 0.000 1.467 Sc
1.031 1.700 1.257 In
2.903 1.700 6.209 In
3.780 1.700 0.000 In
3.879 1.700 3.023 In
5.752 1.700 7.975 In
0.064 1.700 5.866 Ni
6.718 1.700 3.366 Ni
```

Largest 10 diffraction maxima, in order of rising 2θ, 2θ from 10° to 80°:
27.96 deg, d 3.191, I 46; 32.34 deg, d 2.769, I 86; 34.29 deg, d 2.615, I 68; 35.44 deg, d 2.533, I 100; 35.57 deg, d 2.524, I 95; 35.76 deg, d 2.511, I 65; 36.11 deg, d 2.487, I 65; 37.46 deg, d 2.401, I 46; 39.73 deg, d 2.269, I 53; 53.92 deg, d 1.700, I 40

Entry 6:
Calculated X-ray diffraction stick pattern
Compound: Ba2ZnB6O12
Radiation: a wavelength of 1.5418 Å
Structure: a structure optimized by DFT (PBE)
No peak broadening, texture or thermal motion is included.

```
Ba2ZnB6O12
1.0
7.152 0.000 0.000
-3.570 6.249 0.000
-0.928 -2.093 11.325
Ba Zn B O
4 2 12 24
Cartesian
-0.449 1.054 5.027 Ba
-0.543 0.983 9.018 Ba
3.196 3.173 2.308 Ba
3.102 3.102 6.298 Ba
-0.343 5.201 1.008 Zn
2.996 -1.045 10.317 Zn
0.572 0.002 1.503 B
-2.792 3.299 9.936 B
-1.857 4.961 4.240 B
0.153 2.406 1.392 B
-0.954 3.851 7.149 B
2.188 0.046 7.164 B
0.465 4.110 4.162 B
3.607 0.304 4.176 B
2.500 1.750 9.933 B
4.510 -0.806 7.085 B
5.444 0.856 1.390 B
2.081 4.154 9.823 B
-1.219 2.159 1.483 O
-3.168 4.766 4.314 O
-3.674 4.363 9.786 O
-2.215 5.175 1.414 O
-1.450 2.620 7.119 O
1.028 1.317 1.513 O
-0.931 3.905 4.192 O
1.744 -1.289 7.245 O
-1.474 3.465 10.207 O
0.675 3.607 1.139 O
2.232 0.026 4.239 O
1.363 1.084 7.122 O
1.290 3.072 4.204 O
0.421 4.130 7.086 O
1.978 0.549 10.186 O
4.127 0.691 1.118 O
0.909 5.445 4.080 O
3.584 0.251 7.133 O
1.624 2.839 9.812 O
4.102 1.536 4.206 O
4.868 -1.019 9.911 O
6.327 -0.207 1.539 O
5.821 -0.610 7.011 O
3.872 1.997 9.842 O
```

Largest 10 diffraction maxima, in order of rising 2θ, 2θ from 10° to 80°:
15.29 deg, d 5.794, I 19; 16.15 deg, d 5.489, I 19; 23.21 deg, d 3.832, I 16; 24.94 deg, d 3.571, I 100; 25.35 deg, d 3.514, I 20; 27.92 deg, d 3.196, I 36; 29.72 deg, d 3.006, I 33; 32.34 deg, d 2.768, I 16; 38.58 deg, d 2.333, I 24; 43.74 deg, d 2.070, I 33

Entry 7:
Calculated X-ray diffraction stick pattern
Compound: NaThB4
Radiation: a wavelength of 1.5418 Å
Structure: a structure optimized by DFT (PBE)
No peak broadening, texture or thermal motion is included.

```
NaThB4
1.0
3.217 0.000 0.000
-1.609 2.786 0.000
0.000 0.000 8.410
Na Th B
1 1 4
Cartesian
0.000 0.000 0.000 Na
0.000 0.000 4.205 Th
0.000 1.857 2.114 B
0.000 1.857 6.296 B
1.609 0.929 2.114 B
1.609 0.929 6.296 B
```

Largest 10 diffraction maxima, in order of rising 2θ, 2θ from 10° to 80°:
10.52 deg, d 8.410, I 100; 21.13 deg, d 4.205, I 24; 32.13 deg, d 2.786, I 32; 33.90 deg, d 2.645, I 41; 38.77 deg, d 2.323, I 50; 45.92 deg, d 1.976, I 18; 54.69 deg, d 1.678, I 15; 57.28 deg, d 1.609, I 9; 58.41 deg, d 1.580, I 9; 61.75 deg, d 1.502, I 9

Entry 8:
Calculated X-ray diffraction stick pattern
Compound: HoLuIn4Ni2
Radiation: a wavelength of 1.5418 Å
Structure: a structure optimized by DFT (PBE)
No peak broadening, texture or thermal motion is included.

```
HoLuIn4Ni2
1.0
7.438 0.000 0.000
0.000 2.143 5.178
0.000 -2.143 5.178
Ho Lu In Ni
1 1 4 2
Cartesian
0.000 0.000 0.000 Ho
3.719 0.000 8.967 Lu
1.498 0.000 3.004 In
2.235 0.000 5.963 In
5.203 0.000 5.963 In
5.940 0.000 3.004 In
0.000 0.000 7.413 Ni
3.719 0.000 1.536 Ni
```

Largest 10 diffraction maxima, in order of rising 2θ, 2θ from 10° to 80°:
33.04 deg, d 2.711, I 100; 33.33 deg, d 2.688, I 30; 35.51 deg, d 2.528, I 60; 36.76 deg, d 2.445, I 28; 40.33 deg, d 2.236, I 28; 41.44 deg, d 2.179, I 17; 42.16 deg, d 2.143, I 34; 59.77 deg, d 1.547, I 17; 62.30 deg, d 1.490, I 17; 66.91 deg, d 1.398, I 16

Entry 9:
Calculated X-ray diffraction stick pattern
Compound: Zr3GeB2
Radiation: a wavelength of 1.5418 Å
Structure: a structure optimized by DFT (PBE)
No peak broadening, texture or thermal motion is included.

```
Zr3GeB2
1.0
3.434 0.000 0.000
-1.717 2.974 0.000
0.000 0.000 19.743
Zr Ge B
6 2 4
Cartesian
0.000 0.000 0.000 Zr
0.000 0.000 9.871 Zr
0.000 1.983 2.800 Zr
0.000 1.983 7.072 Zr
1.717 0.991 12.671 Zr
1.717 0.991 16.943 Zr
0.000 0.000 4.936 Ge
0.000 0.000 14.807 Ge
0.000 1.983 11.338 B
0.000 1.983 18.276 B
1.717 0.991 1.466 B
1.717 0.991 8.405 B
```

Largest 10 diffraction maxima, in order of rising 2θ, 2θ from 10° to 80°:
30.40 deg, d 2.941, I 32; 35.23 deg, d 2.547, I 100; 36.41 deg, d 2.468, I 18; 37.88 deg, d 2.375, I 34; 47.90 deg, d 1.899, I 8; 51.79 deg, d 1.765, I 14; 53.36 deg, d 1.717, I 31; 64.76 deg, d 1.440, I 9; 65.57 deg, d 1.424, I 16; 66.32 deg, d 1.409, I 20

Entry 10:
Calculated X-ray diffraction stick pattern
Compound: Dy3Lu4Pd2Se2
Radiation: a wavelength of 1.5418 Å
Structure: a structure optimized by DFT (PBE)
No peak broadening, texture or thermal motion is included.

```
Dy3Lu4Pd2Se2
1.0
-1.931 7.523 4.629
1.931 -7.523 4.629
1.931 7.523 -4.629
Dy Lu Pd Se
3 4 2 2
Cartesian
0.000 0.000 0.000 Dy
0.000 5.433 2.317 Dy
0.000 9.612 2.317 Dy
1.931 5.678 -0.846 Lu
1.931 2.714 1.111 Lu
0.000 1.844 3.783 Lu
0.000 4.809 5.740 Lu
1.931 -3.890 3.936 Pd
1.931 3.890 3.936 Pd
1.931 0.000 2.404 Se
0.000 0.000 6.055 Se
```

Largest 10 diffraction maxima, in order of rising 2θ, 2θ from 10° to 80°:
29.18 deg, d 3.060, I 22; 29.55 deg, d 3.023, I 21; 30.73 deg, d 2.910, I 55; 31.26 deg, d 2.862, I 27; 34.11 deg, d 2.628, I 51; 34.67 deg, d 2.587, I 100; 35.15 deg, d 2.553, I 50; 39.24 deg, d 2.296, I 21; 47.05 deg, d 1.931, I 29; 59.38 deg, d 1.556, I 21

Entry 11:
Calculated X-ray diffraction stick pattern
Compound: GdDy2Mg3Ir2Pt
Radiation: a wavelength of 1.5418 Å
Structure: a structure optimized by DFT (PBE)
No peak broadening, texture or thermal motion is included.

```
GdDy2Mg3Ir2Pt
1.0
4.045 0.000 0.000
0.000 6.346 3.664
0.000 -6.346 3.664
Gd Dy Mg Ir Pt
1 2 3 2 1
Cartesian
0.000 0.000 0.000 Gd
0.000 -2.623 2.783 Dy
0.000 2.623 2.783 Dy
2.022 0.000 2.487 Mg
2.022 -1.569 5.202 Mg
2.022 1.569 5.202 Mg
2.022 -4.228 4.298 Ir
2.022 4.228 4.298 Ir
0.000 0.000 4.295 Pt
```

Largest 10 diffraction maxima, in order of rising 2θ, 2θ from 10° to 80°:
24.29 deg, d 3.664, I 49; 26.13 deg, d 3.411, I 26; 32.99 deg, d 2.715, I 64; 35.98 deg, d 2.496, I 100; 42.75 deg, d 2.115, I 36; 43.89 deg, d 2.063, I 35; 44.82 deg, d 2.022, I 22; 57.07 deg, d 1.614, I 17; 63.66 deg, d 1.462, I 23; 68.50 deg, d 1.370, I 25

Entry 12:
Calculated X-ray diffraction stick pattern
Compound: ErMgTlTe3
Radiation: a wavelength of 1.5418 Å
Structure: a structure optimized by DFT (PBE)
No peak broadening, texture or thermal motion is included.

```
ErMgTlTe3
1.0
2.219 -7.731 0.000
2.219 7.731 0.000
0.000 0.000 11.675
Er Mg Tl Te
2 2 2 6
Cartesian
0.000 0.000 0.000 Er
0.000 0.000 5.838 Er
2.219 0.562 8.756 Mg
2.219 -0.562 2.919 Mg
2.219 3.989 2.919 Tl
2.219 -3.989 8.756 Tl
2.219 6.573 8.756 Te
2.219 2.069 6.441 Te
2.219 2.069 11.072 Te
2.219 -2.069 0.603 Te
2.219 -2.069 5.235 Te
2.219 -6.573 2.919 Te
```

Largest 10 diffraction maxima, in order of rising 2θ, 2θ from 10° to 80°:
19.05 deg, d 4.659, I 43; 25.63 deg, d 3.476, I 27; 26.50 deg, d 3.363, I 38; 27.61 deg, d 3.231, I 100; 30.66 deg, d 2.916, I 97; 31.11 deg, d 2.875, I 37; 38.17 deg, d 2.357, I 36; 38.68 deg, d 2.328, I 33; 40.66 deg, d 2.219, I 31; 47.41 deg, d 1.918, I 35